Simulated PXRD pattern
Compound: BeAlFeIr
Radiation: Cu Kα X-rays
Structure: a structure optimized by DFT (PBE)
Neutral-atom scattering factors, no anomalous dispersion.

Atomic structure:
```
BeAlFeIr
1.0
0.0000 2.8593 2.8593
2.8593 0.0000 2.8593
2.8593 2.8593 0.0000
Be Al Fe Ir
1 1 1 1
Direct
0.0000 0.0000 0.0000 Be
0.5000 0.5000 0.5000 Al
0.2500 0.2500 0.2500 Fe
0.7500 0.7500 0.7500 Ir
```

Main lines, in order of falling intensity (2θ from 10° to 90°):
two_theta, d_spacing, I_rel
44.83, 2.022, 100
31.28, 2.859, 79
27.01, 3.302, 56
82.67, 1.167, 33
53.12, 1.724, 28
74.15, 1.279, 26
55.68, 1.651, 21
65.26, 1.430, 16
71.98, 1.312, 12
88.93, 1.101, 10



Simulated PXRD pattern
Compound: TbScGa6
Radiation: Cu Kα X-rays
Structure: a structure optimized by DFT (PBE)
Neutral-atom scattering factors, no anomalous dispersion.

Atomic structure:
```
TbScGa6
1.0
6.1231 0.0000 0.0000
-3.0616 5.3028 0.0000
0.0000 0.0000 4.5890
Tb Sc Ga
1 1 6
Direct
0.0000 0.0000 0.0000 Tb
0.3333 0.6667 0.5000 Sc
0.3709 0.1854 0.5000 Ga
0.5107 0.0214 0.0000 Ga
0.5107 0.4893 0.0000 Ga
0.8146 0.1854 0.5000 Ga
0.8146 0.6291 0.5000 Ga
0.9786 0.4893 0.0000 Ga
```

Main lines, in order of falling intensity (2θ from 10° to 90°):
two_theta, d_spacing, I_rel
39.25, 2.296, 100
74.51, 1.273, 24
33.81, 2.651, 22
71.15, 1.325, 16
60.48, 1.531, 13
52.76, 1.735, 12
16.72, 5.303, 9
25.67, 3.470, 9
84.40, 1.148, 5
45.24, 2.004, 5



Simulated PXRD pattern
Compound: Mg4Ga3Pt
Radiation: Cu Kα X-rays
Structure: a structure optimized by DFT (PBE)
Neutral-atom scattering factors, no anomalous dispersion.

Atomic structure:
```
Mg4Ga3Pt
1.0
3.3345 0.0000 0.0000
0.0000 4.3242 0.0000
0.0000 0.0000 10.3726
Mg Ga Pt
4 3 1
Direct
0.0000 0.0000 0.0000 Mg
0.0000 0.5000 0.3033 Mg
0.5000 0.0000 0.4762 Mg
0.5000 0.5000 0.8105 Mg
0.0000 0.0000 0.7241 Ga
0.0000 0.5000 0.5757 Ga
0.5000 0.5000 0.0786 Ga
0.5000 0.0000 0.2151 Pt
```

Main lines, in order of falling intensity (2θ from 10° to 90°):
two_theta, d_spacing, I_rel
43.11, 2.099, 100
28.11, 3.174, 95
17.10, 5.186, 84
35.07, 2.559, 84
40.57, 2.224, 80
26.84, 3.321, 58
41.78, 2.162, 42
51.11, 1.787, 37
70.61, 1.334, 30
22.27, 3.991, 23



Simulated PXRD pattern
Compound: Mg5Ga
Radiation: Cu Kα X-rays
Structure: a structure optimized by DFT (PBE)
Neutral-atom scattering factors, no anomalous dispersion.

Atomic structure:
```
Mg5Ga
1.0
2.7266 1.5742 5.0231
-2.7266 1.5742 5.0231
0.0000 -3.1484 5.0231
Mg Ga
5 1
Direct
0.0000 0.6603 0.3397 Mg
0.1662 0.1662 0.1662 Mg
0.3397 0.0000 0.6603 Mg
0.6603 0.3397 0.0000 Mg
0.8338 0.8338 0.8338 Mg
0.5000 0.5000 0.5000 Ga
```

Main lines, in order of falling intensity (2θ from 10° to 90°):
two_theta, d_spacing, I_rel
37.53, 2.396, 100
32.85, 2.727, 28
35.75, 2.512, 25
19.70, 4.507, 20
70.62, 1.334, 19
65.41, 1.427, 18
49.33, 1.847, 17
58.64, 1.574, 17
71.74, 1.316, 14
22.22, 4.002, 13



Simulated PXRD pattern
Compound: Na2TbZnSb2
Radiation: Cu Kα X-rays
Structure: a structure optimized by DFT (PBE)
Neutral-atom scattering factors, no anomalous dispersion.

Atomic structure:
```
Na2TbZnSb2
1.0
4.7049 0.0000 0.0000
0.0000 9.0743 0.0000
0.0000 0.0000 7.3409
Na Tb Zn Sb
4 2 2 4
Direct
0.0000 0.0705 0.0000 Na
0.0000 0.9295 0.5000 Na
0.5000 0.1466 0.3100 Na
0.5000 0.8534 0.8100 Na
0.5000 0.4805 0.9918 Tb
0.5000 0.5195 0.4918 Tb
0.0000 0.3297 0.6436 Zn
0.0000 0.6703 0.1436 Zn
0.0000 0.3637 0.2485 Sb
0.0000 0.6363 0.7485 Sb
0.5000 0.1945 0.7362 Sb
0.5000 0.8055 0.2362 Sb
```

Main lines, in order of falling intensity (2θ from 10° to 90°):
two_theta, d_spacing, I_rel
32.47, 2.757, 100
35.28, 2.544, 80
31.35, 2.854, 47
38.26, 2.352, 42
24.52, 3.630, 40
36.84, 2.440, 30
50.26, 1.815, 25
42.83, 2.111, 21
23.04, 3.859, 19
44.33, 2.043, 17



Simulated PXRD pattern
Compound: Ho2Al3Pt4
Radiation: Cu Kα X-rays
Structure: a structure optimized by DFT (PBE)
Neutral-atom scattering factors, no anomalous dispersion.

Atomic structure:
```
Ho2Al3Pt4
1.0
2.7922 -7.6256 0.0000
2.7922 7.6256 0.0000
0.0000 0.0000 7.5671
Ho Al Pt
4 6 8
Direct
0.1055 0.8945 0.9073 Ho
0.3945 0.6055 0.4073 Ho
0.6055 0.3945 0.5927 Ho
0.8945 0.1055 0.0927 Ho
0.0000 0.0000 0.5000 Al
0.0213 0.4787 0.7500 Al
0.4787 0.0213 0.2500 Al
0.5000 0.5000 0.0000 Al
0.5213 0.9787 0.7500 Al
0.9787 0.5213 0.2500 Al
0.1820 0.8180 0.5280 Pt
0.1899 0.3101 0.7500 Pt
0.3101 0.1899 0.2500 Pt
0.3180 0.6820 0.0280 Pt
0.6820 0.3180 0.9720 Pt
0.6899 0.8101 0.7500 Pt
0.8101 0.6899 0.2500 Pt
0.8180 0.1820 0.4720 Pt
```

Main lines, in order of falling intensity (2θ from 10° to 90°):
two_theta, d_spacing, I_rel
35.57, 2.524, 100
40.14, 2.247, 87
36.26, 2.477, 63
37.56, 2.395, 62
26.29, 3.389, 47
26.17, 3.405, 33
33.61, 2.667, 30
26.47, 3.367, 28
64.05, 1.454, 25
41.84, 2.159, 24



Simulated PXRD pattern
Compound: Cs5H
Radiation: Cu Kα X-rays
Structure: a structure optimized by DFT (PBE)
Neutral-atom scattering factors, no anomalous dispersion.

Atomic structure:
```
Cs5H
1.0
6.9696 -5.9960 0.0000
6.9696 5.9960 0.0000
-6.4749 0.0000 11.8445
Cs H
10 2
Direct
0.0500 0.9500 0.7500 Cs
0.2167 0.3138 0.6386 Cs
0.2333 0.6954 0.0261 Cs
0.3046 0.7667 0.4739 Cs
0.3138 0.2167 0.1386 Cs
0.6862 0.7833 0.8614 Cs
0.6954 0.2333 0.5261 Cs
0.7667 0.3046 0.9739 Cs
0.7833 0.6862 0.3614 Cs
0.9500 0.0500 0.2500 Cs
0.0000 0.0000 0.0000 H
0.0000 0.0000 0.5000 H
```

Main lines, in order of falling intensity (2θ from 10° to 90°):
two_theta, d_spacing, I_rel
20.95, 4.239, 100
21.10, 4.210, 74
20.74, 4.284, 53
23.49, 3.788, 36
40.69, 2.217, 27
26.41, 3.375, 24
21.39, 4.155, 24
29.21, 3.058, 21
19.54, 4.544, 16
35.74, 2.512, 16



Simulated PXRD pattern
Compound: Pu3SnB2Rh9
Radiation: Cu Kα X-rays
Structure: a structure optimized by DFT (PBE)
Neutral-atom scattering factors, no anomalous dispersion.

Atomic structure:
```
Pu3SnB2Rh9
1.0
5.8091 0.0000 0.0000
-2.9046 5.0309 0.0000
0.0000 0.0000 8.9697
Pu Sn B Rh
3 1 2 9
Direct
0.0000 0.0000 0.0000 Pu
0.3333 0.6667 0.6740 Pu
0.6667 0.3333 0.3260 Pu
0.0000 0.0000 0.5000 Sn
0.3333 0.6667 0.1426 B
0.6667 0.3333 0.8574 B
0.0000 0.5000 0.0000 Rh
0.1619 0.3238 0.2656 Rh
0.1619 0.8381 0.2656 Rh
0.3238 0.1619 0.7344 Rh
0.5000 0.0000 0.0000 Rh
0.5000 0.5000 0.0000 Rh
0.6762 0.8381 0.2656 Rh
0.8381 0.1619 0.7344 Rh
0.8381 0.6762 0.7344 Rh
```

Main lines, in order of falling intensity (2θ from 10° to 90°):
two_theta, d_spacing, I_rel
37.12, 2.422, 100
41.14, 2.194, 98
64.15, 1.452, 38
26.63, 3.348, 34
29.88, 2.990, 30
72.36, 1.306, 21
30.78, 2.905, 20
44.22, 2.048, 17
54.85, 1.674, 17
47.22, 1.925, 16



Simulated PXRD pattern
Compound: NbFeS
Radiation: Cu Kα X-rays
Structure: a structure optimized by DFT (PBE)
Neutral-atom scattering factors, no anomalous dispersion.

Atomic structure:
```
NbFeS
1.0
3.0937 0.0000 0.0000
0.0000 1.6137 4.3606
0.0000 -1.6137 4.3606
Nb Fe S
1 1 1
Direct
0.0000 0.0000 0.0000 Nb
0.5000 0.2990 0.2990 Fe
0.0000 0.7136 0.7136 S
```

Main lines, in order of falling intensity (2θ from 10° to 90°):
two_theta, d_spacing, I_rel
41.78, 2.162, 100
35.58, 2.523, 38
29.51, 3.027, 22
41.41, 2.180, 15
51.61, 1.771, 14
75.61, 1.258, 13
51.26, 1.782, 13
68.22, 1.375, 11
28.86, 3.094, 11
57.07, 1.614, 10



Simulated PXRD pattern
Compound: CaZn2PRu2
Radiation: Cu Kα X-rays
Structure: a structure optimized by DFT (PBE)
Neutral-atom scattering factors, no anomalous dispersion.

Atomic structure:
```
CaZn2PRu2
1.0
4.3950 0.0000 0.0000
0.0000 4.3950 0.0000
0.0000 0.0000 5.6900
Ca Zn P Ru
1 2 1 2
Direct
0.0000 0.0000 0.0000 Ca
0.5000 0.5000 0.2232 Zn
0.5000 0.5000 0.7768 Zn
0.0000 0.0000 0.5000 P
0.0000 0.5000 0.5000 Ru
0.5000 0.0000 0.5000 Ru
```

Main lines, in order of falling intensity (2θ from 10° to 90°):
two_theta, d_spacing, I_rel
32.84, 2.727, 100
41.07, 2.198, 81
15.57, 5.690, 80
43.11, 2.098, 58
37.66, 2.388, 50
56.93, 1.618, 36
59.49, 1.554, 26
44.18, 2.050, 22
69.64, 1.350, 21
76.24, 1.249, 20



Simulated PXRD pattern
Compound: CoSi2P
Radiation: Cu Kα X-rays
Structure: a structure optimized by DFT (PBE)
Neutral-atom scattering factors, no anomalous dispersion.

Atomic structure:
```
CoSi2P
1.0
2.7702 0.0000 0.0000
0.0000 2.7702 0.0000
0.0000 0.0000 6.7375
Co Si P
1 2 1
Direct
0.0000 0.0000 0.0000 Co
0.0000 0.0000 0.5115 Si
0.5000 0.5000 0.7828 Si
0.5000 0.5000 0.1950 P
```

Main lines, in order of falling intensity (2θ from 10° to 90°):
two_theta, d_spacing, I_rel
42.24, 2.140, 100
13.14, 6.738, 59
46.35, 1.959, 43
83.06, 1.163, 26
52.45, 1.745, 16
67.64, 1.385, 13
74.26, 1.277, 12
48.39, 1.881, 8
26.46, 3.369, 8
54.48, 1.684, 8



Simulated PXRD pattern
Compound: Cs3Zn2PbF9
Radiation: Cu Kα X-rays
Structure: a structure optimized by DFT (PBE)
Neutral-atom scattering factors, no anomalous dispersion.

Atomic structure:
```
Cs3Zn2PbF9
1.0
6.3071 0.0000 0.0000
-3.1536 5.4621 0.0000
0.0000 0.0000 7.7913
Cs Zn Pb F
3 2 1 9
Direct
0.0000 0.0000 0.0000 Cs
0.3333 0.6667 0.6759 Cs
0.6667 0.3333 0.3241 Cs
0.3333 0.6667 0.1520 Zn
0.6667 0.3333 0.8480 Zn
0.0000 0.0000 0.5000 Pb
0.0000 0.5000 0.0000 F
0.1804 0.3608 0.3104 F
0.1804 0.8196 0.3104 F
0.3608 0.1804 0.6896 F
0.5000 0.0000 0.0000 F
0.5000 0.5000 0.0000 F
0.6392 0.8196 0.3104 F
0.8196 0.1804 0.6896 F
0.8196 0.6392 0.6896 F
```

Main lines, in order of falling intensity (2θ from 10° to 90°):
two_theta, d_spacing, I_rel
28.14, 3.172, 100
28.30, 3.154, 95
40.33, 2.236, 66
50.00, 1.824, 40
80.56, 1.192, 22
58.54, 1.577, 20
49.69, 1.835, 20
58.17, 1.586, 20
50.10, 1.821, 20
66.19, 1.412, 19



Simulated PXRD pattern
Compound: LaEr2Cd
Radiation: Cu Kα X-rays
Structure: a structure optimized by DFT (PBE)
Neutral-atom scattering factors, no anomalous dispersion.

Atomic structure:
```
LaEr2Cd
1.0
4.8957 0.0000 0.0000
0.0000 4.8957 0.0000
0.0000 0.0000 4.9275
La Er Cd
1 2 1
Direct
0.0000 0.0000 0.0000 La
0.0000 0.5000 0.5000 Er
0.5000 0.0000 0.5000 Er
0.5000 0.5000 0.0000 Cd
```

Main lines, in order of falling intensity (2θ from 10° to 90°):
two_theta, d_spacing, I_rel
31.59, 2.833, 100
36.71, 2.448, 33
62.93, 1.477, 27
52.71, 1.736, 24
36.47, 2.464, 17
62.60, 1.484, 14
65.96, 1.416, 12
86.36, 1.127, 12
52.90, 1.731, 12
86.65, 1.124, 6



Simulated PXRD pattern
Compound: CrPd4Rh
Radiation: Cu Kα X-rays
Structure: a structure optimized by DFT (PBE)
Neutral-atom scattering factors, no anomalous dispersion.

Atomic structure:
```
CrPd4Rh
1.0
0.0000 4.5840 7.4954
2.6895 0.0000 7.4954
2.6895 4.5840 0.0000
Cr Pd Rh
2 8 2
Direct
0.1250 0.1250 0.1250 Cr
0.8750 0.8750 0.8750 Cr
0.0305 0.5356 0.2156 Pd
0.2156 0.7183 0.0305 Pd
0.2817 0.7844 0.4644 Pd
0.4644 0.9695 0.2817 Pd
0.5356 0.0305 0.7183 Pd
0.7183 0.2156 0.5356 Pd
0.7844 0.2817 0.9695 Pd
0.9695 0.4644 0.7844 Pd
0.3750 0.3750 0.3750 Rh
0.6250 0.6250 0.6250 Rh
```

Main lines, in order of falling intensity (2θ from 10° to 90°):
two_theta, d_spacing, I_rel
41.15, 2.194, 100
46.01, 1.972, 90
39.31, 2.292, 62
35.46, 2.531, 53
53.97, 1.699, 30
84.52, 1.146, 30
38.82, 2.320, 27
85.38, 1.137, 21
76.00, 1.252, 19
72.51, 1.304, 18